Starting from a structure optimized by DFT (GGA-PBE), the powder XRD pattern of Co2PdRh2 was computed for a wavelength of 1.5418 Å.

```
Co2PdRh2
1.0
7.091 0.000 0.000
0.000 7.091 0.000
0.000 0.000 2.733
Co Pd Rh
4 2 4
direct
0.123 0.377 0.000
0.377 0.877 0.000
0.623 0.123 0.000
0.877 0.623 0.000
0.000 0.000 0.000
0.500 0.500 0.000
0.172 0.672 0.500
0.328 0.172 0.500
0.672 0.828 0.500
0.828 0.328 0.500
```

Peak list (10 most intense, 2θ = 10–90°, low angle first)
| two_theta | I_rel | index |
| --- | --- | --- |
| 28.1 | 14 | 2 1 0 |
| 35.8 | 23 | 2 2 0 |
| 40.2 | 79 | 3 1 0 |
| 41.7 | 52 | 2 0 1 |
| 43.7 | 100 | 2 1 1 |
| 53.3 | 15 | 4 1 0 |
| 64.0 | 15 | 4 1 1 |
| 65.5 | 18 | 3 3 1 |
| 76.9 | 17 | 5 1 1 |
| 82.7 | 20 | 3 1 2 |